The following is a theoretical powder XRD pattern of K2Cr3O9. It was derived from DFT lattice parameters and positions (GGA+U), using CuKα.
Kinematic intensities with the Lorentz-polarization factor, no thermal factor.

Peak list (6 most intense, 10° ≤ 2θ ≤ 90°, in order of rising 2θ)
| (hkl) | two_theta | d (Å) | I/Imax |
| --- | --- | --- | --- |
| 1 0 -1 | 11.42 | 7.749 | 50.3 |
| 0 1 1 | 18.19 | 4.877 | 58.1 |
| 2 1 -1 | 25.25 | 3.526 | 100.0 |
| 2 1 -2 | 27.52 | 3.241 | 53.5 |
| 1 0 -3 | 28.05 | 3.181 | 44.4 |
| 1 1 2 | 31.53 | 2.838 | 54.9 |

Structure:
a = 8.784 Å, b = 5.919 Å, c = 9.576 Å
α = 90.00°, β = 115.92°, γ = 90.00°
Fractional coordinates of all 28 atoms:
K (0.186, 0.250, 0.240)
K (0.205, 0.750, 0.585)
K (0.795, 0.250, 0.415)
K (0.814, 0.750, 0.760)
Cr (0.100, 0.250, 0.805)
Cr (0.483, 0.750, 0.296)
Cr (0.500, 0.000, 0.000)
Cr (0.500, 0.500, 0.000)
Cr (0.517, 0.250, 0.704)
Cr (0.900, 0.750, 0.195)
O (0.022, 0.250, 0.930)
O (0.032, 0.026, 0.695)
O (0.032, 0.474, 0.695)
O (0.319, 0.250, 0.574)
O (0.328, 0.250, 0.904)
O (0.359, 0.750, 0.382)
O (0.363, 0.750, 0.910)
O (0.441, 0.518, 0.178)
O (0.441, 0.982, 0.178)
O (0.559, 0.018, 0.822)
O (0.559, 0.482, 0.822)
O (0.637, 0.250, 0.090)
O (0.641, 0.250, 0.618)
O (0.672, 0.750, 0.096)
O (0.681, 0.750, 0.426)
O (0.968, 0.526, 0.305)
O (0.968, 0.974, 0.305)
O (0.978, 0.750, 0.070)